Starting from DFT lattice parameters and positions (GGA-PBE), the PXRD pattern of CrHgSe2 was simulated for copper Kα.
Intensities are scaled so that the largest is 100.

Structure:
```
CrHgSe2
1.0
6.0233 0.0000 0.0000
0.0000 3.4665 0.0000
-1.7643 0.0000 9.1169
Cr Hg Se
2 2 4
Direct
0.0000 0.0000 0.0000
0.5000 0.5000 0.0000
0.0000 0.5000 0.5000
0.5000 0.0000 0.5000
0.2146 0.5000 0.1627
0.2854 0.0000 0.8373
0.7146 0.0000 0.1627
0.7854 0.5000 0.8373
```

Largest 10 diffraction maxima, most intense first, 2θ from 15° to 90°:
hkl	2θ (°)	I_rel
1 1 1	32.39	100.0
2 0 -2	32.82	51.6
1 1 -2	34.24	45.7
0 0 3	29.39	43.8
3 1 -1	52.72	43.3
0 0 2	19.47	41.5
1 1 0	29.90	41.2
1 1 -3	40.22	31.4
1 1 3	44.50	27.6
2 0 1	33.59	26.1